(1)
Starting from the GGA-PBE geometry in the Materials Project, the powder diffractogram of AlW3C4 was simulated for copper Kα.
Intensities are scaled so that the largest is 100.

Peak list (10 most intense, 10 to 90 degrees two-theta, in order of rising 2θ)
index	2theta	d_spacing	I_rel
0 0 2	17.50	5.069	22.0
1 0 0	31.59	2.832	71.4
0 1 2	35.22	2.548	100.0
0 0 4	35.42	2.534	49.3
1 1 2	48.03	1.894	96.7
1 0 4	48.18	1.889	47.6
0 1 6	63.46	1.466	21.8
1 1 6	72.62	1.302	23.8
2 1 2	77.04	1.238	21.6
1 2 4	83.14	1.162	20.6

Atomic structure:
Cell: 2.832 2.947 10.138 Å, 90.00 90.00 90.00°
Space group Pmm2 (No. 25)
One atom of each set of equivalent atoms:
Al 0.000 0.000 0.000 [1 per cell]
W 0.000 0.000 0.512 [1 per cell]
W 0.000 0.500 0.263 [1 per cell]
W 0.000 0.500 0.763 [1 per cell]
C 0.500 0.000 0.187 [1 per cell]
C 0.500 0.000 0.679 [1 per cell]
C 0.500 0.500 0.429 [1 per cell]
C 0.500 0.500 0.923 [1 per cell]

(2)
Starting from the GGA-PBE geometry in the Materials Project, the powder diffractogram of LaTcN3 was simulated for copper Kα.
Intensities are scaled so that the largest is 100.

Peak list (10 most intense, 10 to 90 degrees two-theta, in order of rising 2θ)
index	2theta	d_spacing	I_rel
1 1 0	31.84	2.811	100.0
1 0 4	32.09	2.789	100.0
0 2 4	45.83	1.980	53.0
3 0 0	56.73	1.623	21.1
2 1 4	56.89	1.619	40.0
0 1 8	57.36	1.606	19.2
2 2 0	66.54	1.405	15.6
2 0 8	67.11	1.395	15.9
1 3 4	75.80	1.255	16.4
1 2 8	76.21	1.249	16.8

Atomic structure:
Cell: 5.6214 5.6214 13.6133 Å, 90.00 90.00 120.00°
Space group R-3c (No. 167, hexagonal axes)
One atom of each set of equivalent atoms:
La 0.0000 0.0000 0.2500 [6 per cell]
Tc 0.0000 0.0000 0.0000 [6 per cell]
N 0.0000 0.4534 0.2500 [18 per cell]

(3)
Starting from the GGA-PBE geometry in the Materials Project, the powder diffractogram of Ti3Pb5F19 was simulated for copper Kα.
Intensities are scaled so that the largest is 100.

Peak list (10 most intense, 10 to 90 degrees two-theta, in order of rising 2θ)
index	2theta	d_spacing	I_rel
0 0 2	22.64	3.927	72.8
4 0 0	24.10	3.693	37.8
3 2 1	24.51	3.632	64.4
4 2 0	27.00	3.303	59.8
4 1 1	27.36	3.259	100.0
2 2 2	28.44	3.139	43.1
5 4 1	40.77	2.213	32.1
6 3 1	42.65	2.120	44.8
4 1 3	42.78	2.114	44.4
6 0 2	43.35	2.087	35.3

Atomic structure:
Cell: 14.770 14.770 7.854 Å, 90.00 90.00 90.00°
Space group I4cm (No. 108)
One atom of each set of equivalent atoms:
Ti 0.000 0.000 0.000 [4 per cell]
Ti 0.164 0.336 0.302 [8 per cell]
Pb 0.000 0.500 0.465 [4 per cell]
Pb 0.065 0.231 0.852 [16 per cell]
F 0.000 0.000 0.250 [4 per cell]
F 0.056 0.121 0.492 [16 per cell]
F 0.063 0.309 0.469 [16 per cell]
F 0.074 0.426 0.218 [8 per cell]
F 0.100 0.246 0.149 [16 per cell]
F 0.113 0.387 0.846 [8 per cell]
F 0.247 0.253 0.856 [8 per cell]

(4)
Starting from the GGA-PBE geometry in the Materials Project, the powder diffractogram of CeS2 was simulated for copper Kα.
Intensities are scaled so that the largest is 100.

Peak list (10 most intense, 10 to 90 degrees two-theta, in order of rising 2θ)
index	2theta	d_spacing	I_rel
0 4 0	22.09	4.023	42.2
0 1 1	22.60	3.934	41.9
2 1 0	22.95	3.876	42.7
0 3 1	27.57	3.236	37.7
2 3 0	27.85	3.203	37.3
2 0 1	31.43	2.846	71.8
0 6 0	33.39	2.683	62.4
2 4 1	38.76	2.323	100.0
4 0 0	45.38	1.998	49.2
4 0 2	65.65	1.422	28.2

Atomic structure:
Cell: 7.987 16.093 4.057 Å, 90.00 90.00 90.00°
Space group Pnma (No. 62)
One atom of each set of equivalent atoms:
Ce 0.129 0.111 0.224 [8 per cell]
S 0.101 0.250 0.670 [4 per cell]
S 0.110 0.750 0.647 [4 per cell]
S 0.122 0.568 0.240 [8 per cell]

(5)
Starting from the GGA-PBE geometry in the Materials Project, the powder diffractogram of Na2In2P2SO12 was simulated for copper Kα.
Intensities are scaled so that the largest is 100.

Peak list (10 most intense, 10 to 90 degrees two-theta, in order of rising 2θ)
index	2theta	d_spacing	I_rel
1 1 -1	13.70	6.462	34.9
1 1 1	19.07	4.654	53.1
2 0 -2	19.24	4.614	35.7
3 1 -1	19.70	4.507	100.0
0 2 1	22.82	3.898	41.1
3 1 1	30.40	2.940	43.5
0 2 2	30.54	2.927	54.3
3 1 -3	30.71	2.911	38.9
3 3 -1	34.47	2.602	62.3
6 4 -2	53.81	1.704	34.0

Atomic structure:
Cell: 15.602 9.020 9.238 Å, 90.00 123.60 90.00°
Space group Cc (No. 9)
One atom of each set of equivalent atoms:
Na 0.000 0.061 0.000 [4 per cell]
Na 0.078 0.258 0.743 [4 per cell]
In 0.216 0.250 0.193 [4 per cell]
In 0.408 0.252 0.789 [4 per cell]
P 0.162 0.100 0.485 [4 per cell]
P 0.315 0.452 0.995 [4 per cell]
S 0.464 0.100 0.494 [4 per cell]
O 0.053 0.325 0.006 [4 per cell]
O 0.068 0.172 0.476 [4 per cell]
O 0.153 0.071 0.001 [4 per cell]
O 0.156 0.126 0.314 [4 per cell]
O 0.239 0.352 0.008 [4 per cell]
O 0.251 0.448 0.334 [4 per cell]
O 0.260 0.162 0.647 [4 per cell]
O 0.373 0.166 0.338 [4 per cell]
O 0.388 0.457 0.663 [4 per cell]
O 0.393 0.356 0.980 [4 per cell]
O 0.465 0.127 0.653 [4 per cell]
O 0.470 0.063 0.977 [4 per cell]

(6)
Starting from the GGA-PBE geometry in the Materials Project, the powder diffractogram of Ce2C3 was simulated for copper Kα.
Intensities are scaled so that the largest is 100.

Peak list (10 most intense, 10 to 90 degrees two-theta, in order of rising 2θ)
index	2theta	d_spacing	I_rel
2 1 1	25.97	3.431	42.7
2 2 0	30.07	2.972	100.0
3 1 0	33.72	2.658	96.3
3 2 1	40.14	2.246	49.1
3 3 2	50.96	1.792	28.3
4 3 1	55.77	1.648	62.8
5 2 1	60.31	1.535	28.0
5 4 1	72.94	1.297	18.4
6 3 3	84.75	1.144	20.2
6 4 2	86.68	1.123	15.3

Atomic structure:
Cell: 8.405 8.405 8.405 Å, 90.00 90.00 90.00°
Space group I-43d (No. 220)
One atom of each set of equivalent atoms:
Ce 0.050 0.450 0.550 [16 per cell]
C 0.000 0.250 0.793 [24 per cell]